For Hf2Be16Co, the GGA-PBE geometry in Alexandria gives the computed powder diffractogram in this record (Cu Kα (λ = 1.5418 Å)).
Lines closer than 0.1° are merged.

Structural model:
a = 5.667 Å, b = 5.667 Å, c = 5.667 Å
α = 83.21°, β = 83.21°, γ = 83.21°
Atoms (fractional coordinates):
Hf: 0.000 0.000 0.000
Hf: 0.321 0.321 0.321
Be: 0.003 0.003 0.501
Be: 0.003 0.501 0.003
Be: 0.162 0.657 0.657
Be: 0.317 0.317 0.813
Be: 0.317 0.813 0.317
Be: 0.375 0.656 0.939
Be: 0.375 0.939 0.656
Be: 0.501 0.003 0.003
Be: 0.656 0.375 0.939
Be: 0.656 0.939 0.375
Be: 0.657 0.162 0.657
Be: 0.657 0.657 0.162
Be: 0.759 0.759 0.759
Be: 0.813 0.317 0.317
Be: 0.939 0.375 0.656
Be: 0.939 0.656 0.375
Co: 0.562 0.562 0.562

Peak list (8 most intense, 2θ = 15–90°, in order of rising 2θ)
- 2θ = 15.84°, d = 5.596 Å, intensity 27
- 2θ = 23.64°, d = 3.763 Å, intensity 100
- 2θ = 24.47°, d = 3.638 Å, intensity 21
- 2θ = 34.28°, d = 2.616 Å, intensity 60
- 2θ = 35.67°, d = 2.517 Å, intensity 17
- 2θ = 41.57°, d = 2.173 Å, intensity 29
- 2θ = 48.38°, d = 1.882 Å, intensity 21
- 2θ = 48.82°, d = 1.865 Å, intensity 28